Calculated PXRD pattern of KTbEuNbO6 for Cu Ka, from the GGA-PBE geometry in the Materials Project.
Peak positions follow from Bragg's law for the DFT cell and can differ from measured ones.

Top 6 peaks for 2θ from 5° to 70°, by angle:
2theta	I/Imax
14.76	21
29.76	51
29.88	100
42.59	32
52.90	41
53.11	20

Cell and atoms:
abc: 6.004 6.004 8.427
angles: 90.00 90.00 90.00
Fractional positions:
K: 0.000 0.000 0.250
K: 0.000 0.000 0.750
Tb: 0.000 0.500 0.000
Tb: 0.500 0.000 0.500
Eu: 0.500 0.500 0.250
Eu: 0.500 0.500 0.750
Nb: 0.000 0.500 0.500
Nb: 0.500 0.000 0.000
O: 0.000 0.500 0.264
O: 0.000 0.500 0.736
O: 0.252 0.278 0.500
O: 0.252 0.722 0.500
O: 0.278 0.252 0.000
O: 0.278 0.748 0.000
O: 0.500 0.000 0.236
O: 0.500 0.000 0.764
O: 0.722 0.252 0.000
O: 0.722 0.748 0.000
O: 0.748 0.278 0.500
O: 0.748 0.722 0.500